Simulated PXRD pattern of Sr2CeInSe5 for CuKα, from a crystal structure in Alexandria, relaxed with GGA-PBE.
Peak positions follow from Bragg's law for the DFT cell and can differ from measured ones.

Cell and atoms:
```
Sr2CeInSe5
1.0
2.146 -9.353 0.000
2.146 9.353 0.000
0.000 0.000 13.061
Sr Ce In Se
4 2 2 10
Cartesian
2.146 7.221 6.531
2.146 6.940 1.769
2.146 -6.940 8.299
2.146 -7.221 0.000
2.146 5.410 10.945
2.146 -5.410 4.414
2.146 0.895 3.447
2.146 -0.895 9.978
2.146 8.457 11.517
2.146 3.955 6.412
2.146 3.448 2.366
2.146 2.541 10.724
2.146 0.112 7.629
2.146 -0.112 1.099
2.146 -2.541 4.194
2.146 -3.448 8.897
2.146 -3.955 12.942
2.146 -8.457 4.986
```

Most intense lines, 10 to 90 degrees two-theta, in order of falling intensity:
d_spacing  2θ/deg  Rel. int.
3.016  29.62  100
3.032  29.46  68
2.589  34.65  45
2.145  42.13  42
1.752  52.22  27
3.525  25.27  26
1.863  48.89  17
2.367  38.02  16

=====

Simulated PXRD pattern of Ce3Tl3InSe8 for CuKα, from a crystal structure in Alexandria, relaxed with GGA-PBE.
Peak positions follow from Bragg's law for the DFT cell and can differ from measured ones.

Cell and atoms:
```
Ce3Tl3InSe8
1.0
7.376 -4.244 0.000
7.376 4.244 0.000
-0.076 0.000 7.834
Ce Tl In Se
3 3 1 8
Cartesian
0.000 0.000 0.000
3.688 2.122 0.000
3.688 -2.122 0.000
3.650 2.122 3.917
3.650 -2.122 3.917
7.338 0.000 3.917
7.376 0.000 0.000
2.388 0.000 6.243
6.091 2.057 6.272
4.932 0.000 1.631
8.585 2.057 1.562
6.091 -2.057 6.272
9.743 0.000 6.204
8.585 -2.057 1.562
12.288 0.000 1.591
```

Most intense lines, 10 to 90 degrees two-theta, in order of falling intensity:
d_spacing  2θ/deg  Rel. int.
2.674  33.51  100
3.681  24.18  65
2.127  42.50  47
2.698  33.20  43
3.332  26.76  36
2.688  33.33  34
2.122  42.61  25
1.668  55.06  20

=====

Simulated PXRD pattern of CeTlInSe4 for CuKα, from a crystal structure in Alexandria, relaxed with GGA-PBE.
Peak positions follow from Bragg's law for the DFT cell and can differ from measured ones.

Cell and atoms:
```
CeTlInSe4
1.0
7.038 0.000 0.000
0.000 7.043 0.000
-2.890 0.000 8.711
Ce Tl In Se
2 2 2 8
Cartesian
1.422 1.761 0.474
2.727 5.282 8.237
0.161 1.761 4.814
3.988 5.282 3.896
-0.727 5.282 7.184
4.876 1.761 1.527
-0.400 3.663 1.831
-0.400 6.901 1.831
1.334 5.282 5.674
3.088 5.282 0.897
1.061 1.761 7.814
2.814 1.761 3.036
4.549 0.142 6.880
4.549 3.380 6.880
```

Most intense lines, 10 to 90 degrees two-theta, in order of falling intensity:
d_spacing  2θ/deg  Rel. int.
2.897  30.87  100
2.924  30.57  98
3.520  25.30  73
2.735  32.74  59
2.423  37.10  45
4.847  18.30  45
2.294  39.27  40
3.115  28.66  35

=====

Simulated PXRD pattern of Ce4InSi for CuKα, from a crystal structure in Alexandria, relaxed with GGA-PBE.
Peak positions follow from Bragg's law for the DFT cell and can differ from measured ones.

Cell and atoms:
```
Ce4InSi
1.0
5.823 0.000 0.000
0.000 6.355 0.000
-2.547 0.000 8.421
Ce In Si
8 2 2
Cartesian
-0.527 0.089 2.396
-0.527 3.088 2.396
0.202 1.589 6.126
1.996 1.589 0.333
1.279 4.766 8.088
3.073 4.766 2.295
3.803 3.266 6.025
3.803 6.266 6.025
0.960 4.766 4.907
2.316 1.589 3.514
0.960 4.766 0.267
2.316 1.589 8.154
```

Most intense lines, 10 to 90 degrees two-theta, in order of falling intensity:
d_spacing  2θ/deg  Rel. int.
2.760  32.44  100
2.609  34.37  42
2.971  30.07  39
2.477  36.27  36
2.713  33.01  31
2.645  33.89  31
2.536  35.39  29
2.568  34.94  27